Structure and simulated powder diffraction line list of Hg2WF8 (a cell relaxed with GGA+U; Cu Kα, 1.54184 Å).
Kinematic intensities with the Lorentz-polarization factor, no thermal factor.

Most intense lines, 2θ = 10–80°, sorted by position:
2theta, I/Imax
23.84, 100
24.48, 75
34.44, 19
41.93, 21
42.32, 42
43.48, 14
48.80, 18
50.18, 15
55.34, 14
56.29, 20
66.26, 13
67.40, 10

Crystal structure
a b c (Å): 7.464 7.464 4.397
angles (deg): 90.00 90.00 120.00
Sites, in units of the cell vectors:
Hg  0.333  0.667  0.242
Hg  0.667  0.333  0.758
W  0.000  0.000  0.500
F  0.127  0.254  0.263
F  0.127  0.873  0.263
F  0.254  0.127  0.737
F  0.333  0.667  0.743
F  0.667  0.333  0.257
F  0.746  0.873  0.263
F  0.873  0.127  0.737
F  0.873  0.746  0.737